This entry pairs a crystal structure of Y3Ho3Er2 with its theoretical XRD peak list. Radiation: a wavelength of 1.5418 Å. Structure: DFT lattice parameters and positions (GGA-PBE).
Lines closer than 0.1° are merged.

Top 10 peaks for 10° ≤ 2θ ≤ 80°, sorted by position:
Position (°2θ)  d_spacing  I_rel
18.28  4.854  4
22.21  4.003  3
28.55  3.126  1
30.95  2.889  100
35.89  2.502  50
40.57  2.224  1
51.67  1.769  36
61.46  1.509  42
64.51  1.444  12
76.09  1.251  6

```
Y3Ho3Er2
1.0
5.003 0.000 0.000
0.000 5.003 0.000
0.000 0.000 20.023
Y Ho Er
6 6 4
direct
0.000 0.000 0.000
0.000 0.500 0.126
0.000 0.500 0.874
0.500 0.000 0.374
0.500 0.000 0.626
0.500 0.500 0.500
0.000 0.000 0.500
0.000 0.500 0.374
0.000 0.500 0.626
0.500 0.000 0.126
0.500 0.000 0.874
0.500 0.500 0.000
0.000 0.000 0.250
0.000 0.000 0.750
0.500 0.500 0.250
0.500 0.500 0.750
```

This entry pairs a crystal structure of Pm4NiAg3 with its theoretical XRD peak list. Radiation: a wavelength of 1.5418 Å. Structure: DFT lattice parameters and positions (GGA-PBE).
Lines closer than 0.1° are merged.

Top 10 peaks for 10° ≤ 2θ ≤ 80°, sorted by position:
Position (°2θ)  d_spacing  I_rel
24.43  3.643  4
30.43  2.938  4
34.43  2.605  100
34.83  2.576  51
48.88  1.863  8
50.08  1.822  18
61.41  1.510  16
62.19  1.493  35
72.58  1.303  9
73.53  1.288  6

```
Pm4NiAg3
1.0
3.643 0.000 0.000
0.000 3.643 0.000
0.000 0.000 14.906
Pm Ni Ag
4 1 3
direct
0.000 0.000 0.110
0.000 0.000 0.371
0.000 0.000 0.629
0.000 0.000 0.890
0.500 0.500 0.000
0.500 0.500 0.242
0.500 0.500 0.500
0.500 0.500 0.758
```

This entry pairs a crystal structure of Ce2Th2MnGe4 with its theoretical XRD peak list. Radiation: a wavelength of 1.5418 Å. Structure: DFT lattice parameters and positions (GGA-PBE).
Lines closer than 0.1° are merged.

Top 10 peaks for 10° ≤ 2θ ≤ 80°, sorted by position:
Position (°2θ)  d_spacing  I_rel
24.48  3.636  31
29.02  3.077  14
33.95  2.640  100
34.90  2.571  64
37.23  2.415  8
47.34  1.920  9
50.18  1.818  23
60.14  1.539  18
61.97  1.497  35
71.45  1.320  11

```
Ce2Th2MnGe4
1.0
-3.636 3.636 3.841
3.636 -3.636 3.841
3.636 3.636 -3.841
Ce Th Mn Ge
2 2 1 4
direct
0.200 0.200 0.000
0.800 0.800 0.000
0.250 0.750 0.500
0.750 0.250 0.500
0.500 0.500 0.000
0.260 0.260 0.519
0.260 0.740 0.000
0.740 0.260 0.000
0.740 0.740 0.481
```

This entry pairs a crystal structure of Al5Sb with its theoretical XRD peak list. Radiation: a wavelength of 1.5418 Å. Structure: DFT lattice parameters and positions (GGA-PBE).
Lines closer than 0.1° are merged.

Top 10 peaks for 10° ≤ 2θ ≤ 80°, sorted by position:
Position (°2θ)  d_spacing  I_rel
19.87  4.468  50
22.27  3.991  47
28.25  3.159  43
31.01  2.884  19
34.17  2.624  43
36.21  2.481  66
37.13  2.421  24
39.85  2.262  100
40.46  2.229  32
53.97  1.699  23

```
Al5Sb
1.0
4.459 0.000 0.000
0.000 2.922 0.000
0.000 0.000 17.911
Al Sb
10 2
direct
0.000 0.000 0.000
0.000 0.000 0.290
0.000 0.000 0.648
0.000 0.500 0.148
0.000 0.500 0.500
0.000 0.500 0.790
0.500 0.000 0.195
0.500 0.000 0.551
0.500 0.500 0.051
0.500 0.500 0.695
0.500 0.000 0.882
0.500 0.500 0.382
```

This entry pairs a crystal structure of KLiTiI6 with its theoretical XRD peak list. Radiation: a wavelength of 1.5418 Å. Structure: DFT lattice parameters and positions (GGA-PBE).
Lines closer than 0.1° are merged.

Top 10 peaks for 10° ≤ 2θ ≤ 80°, sorted by position:
Position (°2θ)  d_spacing  I_rel
11.39  7.768  15
22.90  3.884  20
23.80  3.739  12
26.45  3.369  100
33.26  2.694  40
38.56  2.335  13
41.84  2.159  21
42.46  2.129  19
50.19  1.818  11
53.14  1.723  12

```
KLiTiI6
1.0
7.478 0.000 0.000
-3.739 6.477 0.000
0.000 0.000 7.768
K Li Ti I
1 1 1 6
direct
0.000 0.000 0.000
0.333 0.667 0.500
0.667 0.333 0.500
0.379 0.019 0.707
0.379 0.360 0.293
0.640 0.019 0.293
0.640 0.621 0.707
0.981 0.360 0.707
0.981 0.621 0.293
```

This entry pairs a crystal structure of Pu2ScRh4 with its theoretical XRD peak list. Radiation: a wavelength of 1.5418 Å. Structure: DFT lattice parameters and positions (GGA-PBE).
Lines closer than 0.1° are merged.

Top 10 peaks for 10° ≤ 2θ ≤ 80°, sorted by position:
Position (°2θ)  d_spacing  I_rel
11.93  7.416  25
21.21  4.188  24
28.03  3.183  25
34.84  2.575  36
35.98  2.496  100
36.34  2.472  26
37.10  2.424  67
39.88  2.261  28
46.93  1.936  29
48.88  1.863  31

```
Pu2ScRh4
1.0
3.727 0.000 0.000
1.859 4.803 0.000
0.009 0.639 7.416
Pu Sc Rh
2 1 4
direct
0.142 0.215 0.172
0.858 0.785 0.828
0.500 0.500 0.500
0.199 0.102 0.621
0.421 0.658 0.142
0.579 0.342 0.858
0.801 0.898 0.379
```

This entry pairs a crystal structure of PmScTe2O8 with its theoretical XRD peak list. Radiation: a wavelength of 1.5418 Å. Structure: DFT lattice parameters and positions (GGA-PBE).
Lines closer than 0.1° are merged.

Top 10 peaks for 10° ≤ 2θ ≤ 80°, sorted by position:
Position (°2θ)  d_spacing  I_rel
24.49  3.635  100
30.40  2.940  14
31.28  2.860  81
34.90  2.571  22
47.57  1.912  67
50.19  1.818  17
56.61  1.626  15
59.44  1.555  15
60.34  1.534  20
71.64  1.317  14

```
PmScTe2O8
1.0
-3.635 3.635 3.441
3.635 -3.635 3.441
3.635 3.635 -3.441
Pm Sc Te O
1 1 2 8
direct
0.000 0.000 0.000
0.750 0.250 0.500
0.250 0.750 0.500
0.500 0.500 0.000
0.055 0.375 0.320
0.055 0.735 0.680
0.095 0.296 0.799
0.265 0.945 0.320
0.498 0.296 0.201
0.625 0.945 0.680
0.704 0.502 0.799
0.704 0.905 0.201
```

This entry pairs a crystal structure of Rb2SrSc with its theoretical XRD peak list. Radiation: a wavelength of 1.5418 Å. Structure: DFT lattice parameters and positions (GGA-PBE).
Lines closer than 0.1° are merged.

Top 10 peaks for 10° ≤ 2θ ≤ 80°, sorted by position:
Position (°2θ)  d_spacing  I_rel
15.99  5.541  4
26.26  3.393  100
30.90  2.894  3
37.48  2.399  19
46.35  1.959  41
54.05  1.697  13
61.06  1.517  18
67.63  1.385  4
73.90  1.283  20
79.97  1.200  2

```
Rb2SrSc
1.0
9.598 0.000 0.000
0.000 9.598 0.000
0.000 0.000 9.598
Rb Sr Sc
8 4 4
direct
0.250 0.250 0.250
0.250 0.250 0.750
0.250 0.750 0.250
0.250 0.750 0.750
0.750 0.250 0.250
0.750 0.250 0.750
0.750 0.750 0.250
0.750 0.750 0.750
0.000 0.000 0.000
0.000 0.500 0.500
0.500 0.000 0.500
0.500 0.500 0.000
0.000 0.000 0.500
0.000 0.500 0.000
0.500 0.000 0.000
0.500 0.500 0.500
```